[1]
Starting from DFT lattice parameters and positions (PBE+U), the X-ray powder pattern of Na2WO2F4 was computed for λ = 1.5418 Å (Cu Kα).
Kinematic intensities with the Lorentz-polarization factor, no thermal factor.

Peak list (10 most intense, 10° ≤ 2θ ≤ 90°, in order of rising 2θ)
2theta, I/Imax, (hkl)
17.90, 65, 1 1 0
18.61, 96, 0 2 1
18.97, 37, 0 4 0
22.42, 29, 1 3 0
24.10, 36, 1 1 1
27.66, 100, 1 3 1
29.53, 24, 1 5 0
48.32, 19, 2 0 2
48.78, 26, 2 6 1
58.31, 28, 1 9 2

Crystal structure
```
data_Na2WO2F4
_cell_length_a 5.138
_cell_length_b 18.713
_cell_length_c 5.541
_cell_angle_alpha 90.00
_cell_angle_beta 90.00
_cell_angle_gamma 90.00
_symmetry_space_group_name_H-M 'P b c n'
_symmetry_Int_Tables_number 60
_symmetry_space_group_name_Hall '-P 2n 2ab'
loop_
_atom_site_label
_atom_site_type_symbol
_atom_site_fract_x
_atom_site_fract_y
_atom_site_fract_z
Na1 Na 0.000 0.051 0.250
Na2 Na 0.000 0.271 0.750
W1 W 0.000 0.393 0.250
O1 O 0.228 0.452 0.115
F1 F 0.198 0.306 0.106
F2 F 0.210 0.374 0.541
```


[2]
Starting from DFT lattice parameters and positions (PBE+U), the X-ray powder pattern of Na3WO4F was computed for λ = 1.5418 Å (Cu Kα).
Kinematic intensities with the Lorentz-polarization factor, no thermal factor.

Peak list (10 most intense, 10° ≤ 2θ ≤ 90°, in order of rising 2θ)
2theta, I/Imax, (hkl)
13.41, 12, 0 1 1
20.58, 100, 1 0 2
23.25, 20, 0 2 0
23.48, 38, 0 1 3
27.00, 14, 0 2 2
31.29, 45, 2 0 0
31.51, 14, 1 0 4
39.31, 10, 2 2 0
39.51, 14, 2 1 3
48.02, 14, 0 2 6

Crystal structure
```
data_Na3WO4F
_cell_length_a 5.715
_cell_length_b 7.651
_cell_length_c 13.084
_cell_angle_alpha 90.00
_cell_angle_beta 90.00
_cell_angle_gamma 90.00
_symmetry_space_group_name_H-M 'P n m a'
_symmetry_Int_Tables_number 62
_symmetry_space_group_name_Hall '-P 2ac 2n'
loop_
_atom_site_label
_atom_site_type_symbol
_atom_site_fract_x
_atom_site_fract_y
_atom_site_fract_z
Na1 Na 0.224 0.250 0.108
Na2 Na 0.225 0.542 0.820
W1 W 0.212 0.250 0.584
O1 O 0.108 0.750 0.421
O2 O 0.174 0.750 0.955
O3 O 0.186 0.556 0.151
F1 F 0.003 0.250 0.270
```